Record 1
Calculated XRD peak list of AlAs2 for Cu Kα X-rays, from a DFT-relaxed cell (GGA-PBE, Alexandria).
Kinematic intensities with the Lorentz-polarization factor, no thermal factor.

Most intense lines, 10° ≤ 2θ ≤ 80°, sorted by position:
| 2theta | Rel. int. |
| --- | --- |
| 24.62 | 24 |
| 28.51 | 21 |
| 31.95 | 100 |
| 35.10 | 91 |
| 40.75 | 5 |
| 48.19 | 34 |
| 52.70 | 43 |
| 54.85 | 55 |
| 59.00 | 12 |
| 68.68 | 19 |
| 70.53 | 9 |
| 79.53 | 19 |

Structure:
```
AlAs2
1.0
6.2626 0.0000 0.0000
0.0000 6.2626 0.0000
0.0000 0.0000 6.2626
Al As
4 8
direct
0.0000 0.0000 0.0000
0.0000 0.5000 0.5000
0.5000 0.0000 0.5000
0.5000 0.5000 0.0000
0.1112 0.6112 0.8888
0.1112 0.8888 0.3888
0.3888 0.1112 0.8888
0.3888 0.3888 0.3888
0.6112 0.6112 0.6112
0.6112 0.8888 0.1112
0.8888 0.1112 0.6112
0.8888 0.3888 0.1112
```

Record 2
Calculated XRD peak list of CeTe2P2Pt7 for Cu Kα X-rays, from a DFT-relaxed cell (GGA-PBE, Alexandria).
Kinematic intensities with the Lorentz-polarization factor, no thermal factor.

Most intense lines, 10° ≤ 2θ ≤ 80°, sorted by position:
| 2theta | Rel. int. |
| --- | --- |
| 30.67 | 30 |
| 31.99 | 38 |
| 33.76 | 52 |
| 36.55 | 100 |
| 44.45 | 29 |
| 44.97 | 63 |
| 49.29 | 27 |
| 55.42 | 23 |
| 64.32 | 23 |
| 65.48 | 21 |
| 72.89 | 22 |
| 77.39 | 23 |

Structure:
```
CeTe2P2Pt7
1.0
-2.0158 2.0158 14.5745
2.0158 -2.0158 14.5745
2.0158 2.0158 -14.5745
Ce Te P Pt
1 2 2 7
direct
0.0000 0.0000 0.0000
0.2082 0.2082 0.0000
0.7918 0.7918 0.0000
0.3790 0.3790 0.0000
0.6210 0.6210 0.0000
0.0770 0.5770 0.5000
0.3008 0.3008 0.0000
0.4230 0.9230 0.5000
0.5000 0.5000 0.0000
0.5770 0.0770 0.5000
0.6992 0.6992 0.0000
0.9230 0.4230 0.5000
```

Record 3
Calculated XRD peak list of MgNbZn2N4 for Cu Kα X-rays, from a DFT-relaxed cell (GGA-PBE, Alexandria).
Kinematic intensities with the Lorentz-polarization factor, no thermal factor.

Most intense lines, 10° ≤ 2θ ≤ 80°, sorted by position:
| 2theta | Rel. int. |
| --- | --- |
| 20.01 | 21 |
| 21.38 | 25 |
| 30.27 | 43 |
| 30.70 | 27 |
| 34.31 | 51 |
| 34.90 | 100 |
| 35.28 | 41 |
| 46.39 | 19 |
| 53.49 | 17 |
| 54.32 | 34 |
| 61.82 | 28 |
| 65.84 | 27 |

Structure:
```
MgNbZn2N4
1.0
6.8524 0.0000 0.0000
0.0000 5.8236 0.0000
0.0000 0.0000 5.2274
Mg Nb Zn N
2 2 4 8
direct
0.0000 0.1756 0.0000
0.5000 0.8244 0.5000
0.0000 0.8254 0.5099
0.5000 0.1746 0.0099
0.2473 0.3293 0.5017
0.2527 0.6707 0.0017
0.7473 0.6707 0.0017
0.7527 0.3293 0.5017
0.0000 0.1522 0.4066
0.0000 0.8273 0.8840
0.2382 0.6656 0.3954
0.2618 0.3344 0.8954
0.5000 0.1727 0.3840
0.5000 0.8478 0.9066
0.7382 0.3344 0.8954
0.7618 0.6656 0.3954
```

Record 4
Calculated XRD peak list of BeV2CuSn for Cu Kα X-rays, from a DFT-relaxed cell (GGA-PBE, Alexandria).
Kinematic intensities with the Lorentz-polarization factor, no thermal factor.

Most intense lines, 10° ≤ 2θ ≤ 80°, sorted by position:
| 2theta | Rel. int. |
| --- | --- |
| 19.43 | 100 |
| 27.61 | 11 |
| 33.78 | 38 |
| 38.72 | 23 |
| 39.44 | 43 |
| 43.68 | 25 |
| 44.33 | 24 |
| 56.46 | 29 |
| 57.00 | 14 |
| 60.30 | 19 |
| 67.93 | 10 |
| 71.05 | 14 |

Structure:
```
BeV2CuSn
1.0
4.5694 0.0000 0.0000
0.0000 4.5694 0.0000
0.0000 0.0000 4.6506
Be V Cu Sn
1 2 1 1
direct
0.0000 0.0000 0.0000
0.0000 0.5000 0.5000
0.5000 0.0000 0.5000
0.5000 0.5000 0.5000
0.5000 0.5000 0.0000
```

Record 5
Calculated XRD peak list of SrIn8 for Cu Kα X-rays, from a DFT-relaxed cell (GGA-PBE, Alexandria).
Kinematic intensities with the Lorentz-polarization factor, no thermal factor.

Most intense lines, 10° ≤ 2θ ≤ 80°, sorted by position:
| 2theta | Rel. int. |
| --- | --- |
| 12.18 | 3 |
| 32.13 | 100 |
| 37.11 | 33 |
| 37.59 | 17 |
| 40.81 | 2 |
| 51.55 | 1 |
| 53.49 | 11 |
| 53.85 | 22 |
| 63.78 | 24 |
| 64.43 | 13 |
| 67.21 | 11 |
| 79.05 | 3 |

Structure:
```
SrIn8
1.0
-5.1395 5.1395 2.3926
5.1395 -5.1395 2.3926
5.1395 5.1395 -2.3926
Sr In
1 8
direct
0.0000 0.0000 0.0000
0.0000 0.3432 0.3432
0.0000 0.6568 0.6568
0.3238 0.3238 0.6475
0.3238 0.6762 0.0000
0.3432 0.0000 0.3432
0.6568 0.0000 0.6568
0.6762 0.3238 0.0000
0.6762 0.6762 0.3525
```

Record 6
Calculated XRD peak list of As2Ir3 for Cu Kα X-rays, from a DFT-relaxed cell (GGA-PBE, Alexandria).
Kinematic intensities with the Lorentz-polarization factor, no thermal factor.

Most intense lines, 10° ≤ 2θ ≤ 80°, sorted by position:
| 2theta | Rel. int. |
| --- | --- |
| 24.76 | 5 |
| 29.79 | 95 |
| 41.65 | 100 |
| 43.61 | 96 |
| 50.35 | 9 |
| 53.71 | 19 |
| 55.72 | 5 |
| 61.88 | 31 |
| 68.76 | 22 |
| 71.58 | 16 |
| 74.65 | 16 |
| 78.73 | 32 |

Structure:
```
As2Ir3
1.0
4.1513 0.0000 0.0000
-2.0757 3.5951 0.0000
0.0000 0.0000 5.4372
As Ir
2 3
direct
0.3333 0.6667 0.2830
0.6667 0.3333 0.7170
0.0000 0.0000 0.5000
0.3333 0.6667 0.8285
0.6667 0.3333 0.1715
```

Record 7
Calculated XRD peak list of TbHo12Sc5 for Cu Kα X-rays, from a DFT-relaxed cell (GGA-PBE, Alexandria).
Kinematic intensities with the Lorentz-polarization factor, no thermal factor.

Most intense lines, 10° ≤ 2θ ≤ 80°, sorted by position:
| 2theta | Rel. int. |
| --- | --- |
| 10.57 | 44 |
| 29.77 | 22 |
| 31.05 | 100 |
| 32.09 | 69 |
| 32.29 | 61 |
| 33.04 | 63 |
| 34.78 | 49 |
| 35.77 | 34 |
| 37.93 | 61 |
| 51.76 | 22 |
| 52.74 | 52 |
| 63.09 | 59 |

Structure:
```
TbHo12Sc5
1.0
3.0065 -5.2059 0.0000
3.0065 5.2059 0.0000
-2.0045 0.0000 16.7355
Tb Ho Sc
1 12 5
direct
0.0000 0.0000 0.0000
0.0553 0.3920 0.1656
0.1130 0.1130 0.3377
0.2201 0.5535 0.6618
0.2814 0.2814 0.8344
0.3920 0.0553 0.1656
0.4465 0.7799 0.3382
0.5535 0.2201 0.6618
0.6080 0.9447 0.8344
0.7186 0.7186 0.1656
0.7799 0.4465 0.3382
0.8870 0.8870 0.6623
0.9447 0.6080 0.8344
0.1661 0.8339 0.5000
0.3333 0.6667 0.0000
0.5000 0.5000 0.5000
0.6667 0.3333 0.0000
0.8339 0.1661 0.5000
```

Record 8
Calculated XRD peak list of NaAg2SbCl6 for Cu Kα X-rays, from a DFT-relaxed cell (GGA-PBE, Alexandria).
Kinematic intensities with the Lorentz-polarization factor, no thermal factor.

Most intense lines, 10° ≤ 2θ ≤ 80°, sorted by position:
| 2theta | Rel. int. |
| --- | --- |
| 14.21 | 22 |
| 15.32 | 31 |
| 17.40 | 63 |
| 24.01 | 88 |
| 25.37 | 72 |
| 29.19 | 69 |
| 35.21 | 49 |
| 38.63 | 100 |
| 43.89 | 46 |
| 44.70 | 67 |
| 51.09 | 40 |
| 60.53 | 24 |

Structure:
```
NaAg2SbCl6
1.0
7.0195 0.0000 0.0000
3.5053 6.0838 0.0000
3.5080 2.0262 6.2337
Na Ag Sb Cl
1 2 1 6
direct
0.0000 0.0000 0.0000
0.1974 0.1988 0.4057
0.7166 0.7165 0.8507
0.5092 0.5098 0.4716
0.1116 0.4089 0.7001
0.3049 0.8963 0.2115
0.4090 0.7801 0.6998
0.5870 0.3060 0.2107
0.7798 0.1116 0.6997
0.8961 0.5880 0.2100
```

Record 9
Calculated XRD peak list of H2Pd4Br for Cu Kα X-rays, from a DFT-relaxed cell (GGA-PBE, Alexandria).
Kinematic intensities with the Lorentz-polarization factor, no thermal factor.

Most intense lines, 10° ≤ 2θ ≤ 80°, sorted by position:
| 2theta | Rel. int. |
| --- | --- |
| 13.62 | 23 |
| 35.72 | 84 |
| 36.81 | 61 |
| 37.49 | 100 |
| 38.00 | 84 |
| 40.79 | 30 |
| 40.96 | 37 |
| 42.13 | 68 |
| 43.85 | 17 |
| 45.81 | 48 |
| 54.63 | 16 |
| 63.61 | 19 |

Structure:
```
H2Pd4Br
1.0
5.1856 0.0000 0.0000
-1.8973 5.5674 0.0000
-1.0453 -2.4723 6.5004
H Pd Br
4 8 2
direct
0.0000 0.0000 0.0000
0.0113 0.6423 0.5526
0.5790 0.1720 0.1453
0.9313 0.4551 0.0007
0.0027 0.4566 0.7107
0.0072 0.9438 0.7193
0.2351 0.3761 0.0813
0.2599 0.8833 0.0964
0.6143 0.1552 0.8914
0.6407 0.6640 0.9042
0.8651 0.5752 0.2812
0.8722 0.0914 0.2623
0.3465 0.2774 0.5722
0.5402 0.7945 0.4164
```

Record 10
Calculated XRD peak list of CaPm4NdSe8 for Cu Kα X-rays, from a DFT-relaxed cell (GGA-PBE, Alexandria).
Kinematic intensities with the Lorentz-polarization factor, no thermal factor.

Most intense lines, 10° ≤ 2θ ≤ 80°, sorted by position:
| 2theta | Rel. int. |
| --- | --- |
| 12.52 | 31 |
| 20.51 | 13 |
| 24.10 | 77 |
| 29.16 | 72 |
| 38.18 | 44 |
| 41.71 | 100 |
| 51.73 | 14 |
| 57.78 | 9 |
| 57.86 | 9 |
| 60.47 | 16 |
| 68.52 | 22 |
| 76.19 | 23 |

Structure:
```
CaPm4NdSe8
1.0
4.3271 2.4983 7.0826
-4.3271 2.4983 7.0826
0.0000 -4.9965 7.0826
Ca Pm Nd Se
1 4 1 8
direct
0.0000 0.0000 0.0000
0.1192 0.6274 0.6274
0.2505 0.2505 0.2505
0.6274 0.1192 0.6274
0.6274 0.6274 0.1192
0.6275 0.6275 0.6275
0.3824 0.3824 0.8517
0.3824 0.8517 0.3824
0.3835 0.3835 0.3835
0.3999 0.8683 0.8683
0.8517 0.3824 0.3824
0.8668 0.8668 0.8668
0.8683 0.3999 0.8683
0.8683 0.8683 0.3999
```

Record 11
Calculated XRD peak list of K8Au3Cl4 for Cu Kα X-rays, from a DFT-relaxed cell (GGA-PBE, Alexandria).
Kinematic intensities with the Lorentz-polarization factor, no thermal factor.

Most intense lines, 10° ≤ 2θ ≤ 80°, sorted by position:
| 2theta | Rel. int. |
| --- | --- |
| 11.71 | 23 |
| 13.42 | 66 |
| 19.08 | 54 |
| 23.25 | 20 |
| 23.55 | 20 |
| 27.05 | 100 |
| 27.14 | 50 |
| 30.37 | 23 |
| 38.69 | 74 |
| 47.53 | 20 |
| 48.17 | 19 |
| 63.23 | 24 |

Structure:
```
K8Au3Cl4
1.0
6.5824 -6.5719 0.0000
6.5824 6.5719 0.0000
-6.4566 0.0000 6.6020
K Au Cl
8 3 4
direct
0.2339 0.2339 0.4816
0.2393 0.2393 0.9898
0.2440 0.7560 0.0000
0.2455 0.7545 0.5000
0.7545 0.2455 0.5000
0.7560 0.2440 0.0000
0.7607 0.7607 0.0102
0.7661 0.7661 0.5184
0.0000 0.5000 0.5000
0.5000 0.0000 0.5000
0.5000 0.5000 0.5000
0.0000 0.0000 0.0000
0.0000 0.0000 0.5000
0.0000 0.5000 0.0000
0.5000 0.0000 0.0000
```

Record 12
Calculated XRD peak list of Tb3Y2Tm3 for Cu Kα X-rays, from a DFT-relaxed cell (GGA-PBE, Alexandria).
Kinematic intensities with the Lorentz-polarization factor, no thermal factor.

Most intense lines, 10° ≤ 2θ ≤ 80°, sorted by position:
| 2theta | Rel. int. |
| --- | --- |
| 28.51 | 24 |
| 31.90 | 24 |
| 32.76 | 100 |
| 43.31 | 15 |
| 50.44 | 7 |
| 50.51 | 13 |
| 57.39 | 20 |
| 60.98 | 22 |
| 61.48 | 14 |
| 61.57 | 3 |
| 66.68 | 3 |
| 79.90 | 6 |

Structure:
```
Tb3Y2Tm3
1.0
5.6103 0.0000 0.0000
0.0000 14.4735 0.0000
-0.0055 0.0000 6.2562
Tb Y Tm
6 4 6
direct
0.2504 0.1253 0.1706
0.2504 0.3747 0.1706
0.2497 0.7500 0.6627
0.7503 0.2500 0.3373
0.7496 0.6253 0.8294
0.7496 0.8747 0.8294
0.2500 0.6238 0.1648
0.2500 0.8762 0.1648
0.7500 0.1238 0.8352
0.7500 0.3762 0.8352
0.2499 0.0002 0.6655
0.2501 0.2500 0.6675
0.2499 0.4998 0.6655
0.7501 0.9998 0.3345
0.7501 0.5002 0.3345
0.7499 0.7500 0.3325
```

Record 13
Calculated XRD peak list of TbPr4Dy3S8 for Cu Kα X-rays, from a DFT-relaxed cell (GGA-PBE, Alexandria).
Kinematic intensities with the Lorentz-polarization factor, no thermal factor.

Most intense lines, 10° ≤ 2θ ≤ 80°, sorted by position:
| 2theta | Rel. int. |
| --- | --- |
| 26.68 | 21 |
| 27.43 | 57 |
| 31.56 | 100 |
| 44.75 | 37 |
| 45.71 | 35 |
| 52.86 | 10 |
| 53.71 | 19 |
| 54.13 | 9 |
| 56.60 | 18 |
| 65.89 | 11 |
| 74.19 | 16 |
| 75.59 | 16 |

Structure:
```
TbPr4Dy3S8
1.0
3.9700 2.2921 6.6828
-3.9700 2.2921 6.6828
0.0000 -4.5841 6.6828
Tb Pr Dy S
1 4 3 8
direct
0.0000 0.0000 0.0000
0.0000 0.0000 0.5000
0.0000 0.5000 0.0000
0.5000 0.0000 0.0000
0.5000 0.5000 0.5000
0.0000 0.5000 0.5000
0.5000 0.0000 0.5000
0.5000 0.5000 0.0000
0.2441 0.2441 0.7425
0.2441 0.7425 0.2441
0.2567 0.2567 0.2567
0.2575 0.7559 0.7559
0.7425 0.2441 0.2441
0.7433 0.7433 0.7433
0.7559 0.2575 0.7559
0.7559 0.7559 0.2575
```